1.
For Pr2Sn5Rh3, the PBE geometry in Alexandria gives the computed powder diffraction line list in this record (Cu Kα).
Lines closer than 0.1° are merged.

The 10 most intense peaks (15 to 90 degrees two-theta), by angle:
d_spacing	two_theta	I_rel
2.845	31.44	595
2.784	32.15	814
2.775	32.26	1000
2.513	35.73	243
2.466	36.43	214
2.284	39.45	833
2.084	43.43	299
1.611	57.16	217
1.468	63.36	221
1.395	67.11	219

```
data_Pr2Sn5Rh3
_space_group_name_H-M_alt 'I b a m'
_space_group_IT_number 72
_space_group_name_Hall '-I 2 2c'
_cell_length_a 10.911
_cell_length_b 12.952
_cell_length_c 6.446
_cell_angle_alpha 90.00
_cell_angle_beta 90.00
_cell_angle_gamma 90.00
loop_
_atom_site_label
_atom_site_type_symbol
_atom_site_fract_x
_atom_site_fract_y
_atom_site_fract_z
Pr1 Pr 0.228 0.146 0.000
Sn1 Sn 0.000 0.000 0.250
Sn2 Sn 0.000 0.280 0.250
Sn3 Sn 0.170 0.414 0.000
Rh1 Rh 0.000 0.500 0.250
Rh2 Rh 0.104 0.142 0.500
```

***

2.
For CaAcTh2Pt4, the PBE geometry in Alexandria gives the computed powder diffraction line list in this record (Cu Kα).
Lines closer than 0.1° are merged.

The 10 most intense peaks (15 to 90 degrees two-theta), by angle:
d_spacing	two_theta	I_rel
5.337	16.61	66
3.311	26.93	35
2.984	29.95	1000
2.604	34.44	24
2.216	40.71	29
2.110	42.87	765
1.723	53.17	274
1.492	62.23	129
1.334	70.59	356
1.218	78.53	266

```
data_CaAcTh2Pt4
_space_group_name_H-M_alt 'I 4/m m m'
_space_group_IT_number 139
_space_group_name_Hall '-I 4 2'
_cell_length_a 5.966
_cell_length_b 5.966
_cell_length_c 11.939
_cell_angle_alpha 90.00
_cell_angle_beta 90.00
_cell_angle_gamma 90.00
loop_
_atom_site_label
_atom_site_type_symbol
_atom_site_fract_x
_atom_site_fract_y
_atom_site_fract_z
Ca1 Ca 0.000 0.000 0.000
Ac1 Ac 0.000 0.000 0.500
Th1 Th 0.000 0.500 0.250
Pt1 Pt 0.000 0.000 0.245
Pt2 Pt 0.000 0.500 0.000
```

***

3.
For NaTiZn2S, the PBE geometry in Alexandria gives the computed powder diffraction line list in this record (Cu Kα).
Lines closer than 0.1° are merged.

The 10 most intense peaks (15 to 90 degrees two-theta), by angle:
d_spacing	two_theta	I_rel
4.699	18.88	167
2.740	32.68	1000
2.385	37.72	517
2.350	38.31	247
2.127	42.51	95
1.686	54.40	167
1.674	54.85	325
1.436	64.93	244
1.421	65.73	118
1.370	68.48	158

```
data_NaTiZn2S
_space_group_name_H-M_alt 'P 4/m m m'
_space_group_IT_number 123
_space_group_name_Hall '-P 4 2'
_cell_length_a 4.770
_cell_length_b 4.770
_cell_length_c 4.699
_cell_angle_alpha 90.00
_cell_angle_beta 90.00
_cell_angle_gamma 90.00
loop_
_atom_site_label
_atom_site_type_symbol
_atom_site_fract_x
_atom_site_fract_y
_atom_site_fract_z
Na1 Na 0.000 0.000 0.000
Ti1 Ti 0.500 0.500 0.500
Zn1 Zn 0.000 0.500 0.000
S1 S 0.000 0.000 0.500
```

***

4.
For Sr3Ga6Pd5, the PBE geometry in Alexandria gives the computed powder diffraction line list in this record (Cu Kα).
Lines closer than 0.1° are merged.

The 10 most intense peaks (15 to 90 degrees two-theta), by angle:
d_spacing	two_theta	I_rel
3.085	28.94	177
2.633	34.04	644
2.619	34.23	1000
2.442	36.80	190
2.248	40.11	185
2.190	41.23	361
2.175	41.52	519
2.054	44.09	171
1.543	59.97	154
1.327	71.06	160

```
data_Sr3Ga6Pd5
_space_group_name_H-M_alt 'P m m n'
_space_group_IT_number 59
_cell_length_a 4.350
_cell_length_b 13.130
_cell_length_c 9.913
_cell_angle_alpha 90.00
_cell_angle_beta 90.00
_cell_angle_gamma 90.00
loop_
_space_group_symop_operation_xyz
'x,y,z'
'-x,-y,-z'
'-x+1/2,-y+1/2,z'
'x+1/2,y+1/2,-z'
'x+1/2,-y,-z'
'-x+1/2,y,z'
'-x,y+1/2,-z'
'x,-y+1/2,z'
loop_
_atom_site_label
_atom_site_type_symbol
_atom_site_fract_x
_atom_site_fract_y
_atom_site_fract_z
Sr1 Sr 0.250 0.065 0.249
Sr2 Sr 0.250 0.750 0.262
Ga1 Ga 0.250 0.065 0.588
Ga2 Ga 0.250 0.250 0.023
Ga3 Ga 0.250 0.250 0.453
Ga4 Ga 0.250 0.596 0.988
Pd1 Pd 0.250 0.088 0.869
Pd2 Pd 0.250 0.638 0.539
Pd3 Pd 0.250 0.750 0.810
```

***

5.
For Ta2Rh, the PBE geometry in Alexandria gives the computed powder diffraction line list in this record (Cu Kα).
Lines closer than 0.1° are merged.

The 10 most intense peaks (15 to 90 degrees two-theta), by angle:
d_spacing	two_theta	I_rel
2.403	37.43	877
2.335	38.56	473
2.281	39.51	403
2.223	40.59	816
2.176	41.49	1000
2.126	42.53	447
1.417	65.91	243
1.395	67.11	240
1.361	69.02	238
1.108	88.13	174

```
data_Ta2Rh
_space_group_name_H-M_alt 'P 42/m n m'
_space_group_IT_number 136
_space_group_name_Hall '-P 4n 2n'
_cell_length_a 9.906
_cell_length_b 9.906
_cell_length_c 5.139
_cell_angle_alpha 90.00
_cell_angle_beta 90.00
_cell_angle_gamma 90.00
loop_
_atom_site_label
_atom_site_type_symbol
_atom_site_fract_x
_atom_site_fract_y
_atom_site_fract_z
Ta1 Ta 0.038 0.371 0.000
Ta2 Ta 0.105 0.105 0.000
Ta3 Ta 0.178 0.822 0.248
Rh1 Rh 0.000 0.000 0.500
Rh2 Rh 0.071 0.262 0.500
```

***

6.
For UNi4As, the PBE geometry in Alexandria gives the computed powder diffraction line list in this record (Cu Kα).
Lines closer than 0.1° are merged.

The 10 most intense peaks (15 to 90 degrees two-theta), by angle:
d_spacing	two_theta	I_rel
4.768	18.61	326
2.958	30.22	358
2.539	35.36	603
2.366	38.03	1000
2.311	38.98	870
2.177	41.48	371
2.004	45.24	829
1.851	49.22	423
1.744	52.47	313
1.213	78.95	342

```
data_UNi4As
_space_group_name_H-M_alt 'P m m a'
_space_group_IT_number 51
_space_group_name_Hall '-P 2a 2a'
_cell_length_a 6.975
_cell_length_b 3.703
_cell_length_c 6.531
_cell_angle_alpha 90.00
_cell_angle_beta 90.00
_cell_angle_gamma 90.00
loop_
_atom_site_label
_atom_site_type_symbol
_atom_site_fract_x
_atom_site_fract_y
_atom_site_fract_z
U1 U 0.250 0.000 0.148
Ni1 Ni 0.000 0.000 0.500
Ni2 Ni 0.028 0.500 0.810
Ni3 Ni 0.250 0.500 0.455
As1 As 0.250 0.000 0.729
```

***

7.
For CePrTlCu, the PBE geometry in Alexandria gives the computed powder diffraction line list in this record (Cu Kα).
Lines closer than 0.1° are merged.

The 10 most intense peaks (15 to 90 degrees two-theta), by angle:
d_spacing	two_theta	I_rel
4.368	20.33	125
2.675	33.50	1000
2.281	39.50	72
1.891	48.11	181
1.736	52.74	33
1.544	59.89	375
1.337	70.40	115
1.279	74.15	26
1.196	80.25	161
1.092	89.81	42

```
data_CePrTlCu
_space_group_name_H-M_alt 'F -4 3 m'
_space_group_IT_number 216
_space_group_name_Hall 'F -4 2 3'
_cell_length_a 7.566
_cell_length_b 7.566
_cell_length_c 7.566
_cell_angle_alpha 90.00
_cell_angle_beta 90.00
_cell_angle_gamma 90.00
loop_
_atom_site_label
_atom_site_type_symbol
_atom_site_fract_x
_atom_site_fract_y
_atom_site_fract_z
Ce1 Ce 0.000 0.000 0.000
Pr1 Pr 0.000 0.000 0.500
Tl1 Tl 0.250 0.250 0.750
Cu1 Cu 0.250 0.250 0.250
```

***

8.
For YbIn2Se4, the PBE geometry in Alexandria gives the computed powder diffraction line list in this record (Cu Kα).
Lines closer than 0.1° are merged.

The 10 most intense peaks (15 to 90 degrees two-theta), by angle:
d_spacing	two_theta	I_rel
5.770	15.36	287
3.934	22.60	277
3.153	28.31	246
3.045	29.33	191
3.025	29.53	206
2.688	33.33	263
2.662	33.67	191
2.542	35.30	1000
2.066	43.82	163
1.902	47.81	173

```
data_YbIn2Se4
_space_group_name_H-M_alt 'C c c m'
_space_group_IT_number 66
_space_group_name_Hall '-C 2 2c'
_cell_length_a 6.866
_cell_length_b 10.647
_cell_length_c 10.754
_cell_angle_alpha 90.00
_cell_angle_beta 90.00
_cell_angle_gamma 90.00
loop_
_atom_site_label
_atom_site_type_symbol
_atom_site_fract_x
_atom_site_fract_y
_atom_site_fract_z
Yb1 Yb 0.000 0.000 0.250
In1 In 0.004 0.281 0.000
Se1 Se 0.209 0.065 0.500
Se2 Se 0.250 0.250 0.188
```